[1]
Computed X-ray powder pattern of Dy3Er2Lu2Pd2Se2 for Cu Kα, 1.54184 Å, from the GGA-PBE geometry in OQMD.
Peak positions follow from Bragg's law for the DFT cell and can differ from measured ones.

Atomic structure:
a = 9.089 Å, b = 9.089 Å, c = 9.089 Å
α = 155.46°, β = 67.49°, γ = 118.24°
Element x y z (fractional)
Dy 0.000 0.000 0.000
Dy 0.466 0.588 0.878
Dy 0.710 0.588 0.122
Er 0.108 0.746 0.362
Er 0.383 0.746 0.638
Lu 0.061 0.379 0.682
Lu 0.698 0.379 0.318
Pd 0.312 0.075 0.237
Pd 0.838 0.075 0.763
Se 0.338 0.338 0.000
Se 0.745 0.245 0.500

Principal peaks in the range 2θ from 10° to 90°, low angle first:
| 2θ (°) | intensity |
| --- | --- |
| 29.13 | 24 |
| 30.62 | 56 |
| 31.10 | 31 |
| 33.87 | 50 |
| 34.56 | 100 |
| 35.02 | 48 |
| 39.04 | 23 |
| 47.04 | 29 |

[2]
Computed X-ray powder pattern of DyEr2Lu4Te2Pd2 for Cu Kα, 1.54184 Å, from the GGA-PBE geometry in OQMD.
Peak positions follow from Bragg's law for the DFT cell and can differ from measured ones.

Atomic structure:
a = 9.276 Å, b = 9.276 Å, c = 9.276 Å
α = 155.66°, β = 67.16°, γ = 118.49°
Element x y z (fractional)
Dy 0.000 0.000 0.000
Er 0.092 0.736 0.355
Er 0.381 0.736 0.645
Lu 0.057 0.374 0.683
Lu 0.453 0.585 0.869
Lu 0.691 0.374 0.317
Lu 0.716 0.585 0.131
Te 0.341 0.341 0.000
Te 0.734 0.234 0.500
Pd 0.306 0.068 0.238
Pd 0.830 0.068 0.762

Principal peaks in the range 2θ from 10° to 90°, low angle first:
| 2θ (°) | intensity |
| --- | --- |
| 30.17 | 48 |
| 33.24 | 63 |
| 33.95 | 100 |
| 34.44 | 53 |
| 36.54 | 22 |
| 46.43 | 29 |
| 51.31 | 27 |
| 58.31 | 30 |

[3]
Computed X-ray powder pattern of Dy2Er3Lu2Te2Pd2 for Cu Kα, 1.54184 Å, from the GGA-PBE geometry in OQMD.
Peak positions follow from Bragg's law for the DFT cell and can differ from measured ones.

Atomic structure:
a = 9.342 Å, b = 9.342 Å, c = 9.342 Å
α = 155.73°, β = 66.98°, γ = 118.64°
Element x y z (fractional)
Dy 0.144 0.000 0.144
Dy 0.856 0.000 0.856
Er 0.456 0.638 0.818
Er 0.763 0.263 0.500
Er 0.820 0.638 0.182
Lu 0.217 0.848 0.369
Lu 0.479 0.848 0.631
Te 0.106 0.606 0.500
Te 0.496 0.496 0.000
Pd 0.072 0.332 0.739
Pd 0.593 0.332 0.261

Principal peaks in the range 2θ from 10° to 90°, low angle first:
| 2θ (°) | intensity |
| --- | --- |
| 30.04 | 48 |
| 30.17 | 19 |
| 33.05 | 61 |
| 33.74 | 100 |
| 34.25 | 50 |
| 36.37 | 21 |
| 46.23 | 28 |
| 58.01 | 29 |

[4]
Computed X-ray powder pattern of Dy2Er3Lu2Te2Pd2 for Cu Kα, 1.54184 Å, from the GGA-PBE geometry in OQMD.
Peak positions follow from Bragg's law for the DFT cell and can differ from measured ones.

Atomic structure:
a = 9.349 Å, b = 9.349 Å, c = 9.349 Å
α = 155.87°, β = 67.45°, γ = 118.09°
Element x y z (fractional)
Dy 0.130 0.000 0.130
Dy 0.870 0.000 0.870
Er 0.110 0.793 0.317
Er 0.419 0.419 0.000
Er 0.476 0.793 0.683
Lu 0.508 0.151 0.357
Lu 0.794 0.151 0.643
Te 0.155 0.655 0.500
Te 0.753 0.753 0.000
Pd 0.257 0.491 0.766
Pd 0.724 0.491 0.234

Principal peaks in the range 2θ from 10° to 90°, low angle first:
| 2θ (°) | intensity |
| --- | --- |
| 30.02 | 49 |
| 30.20 | 22 |
| 32.85 | 61 |
| 33.83 | 100 |
| 34.25 | 46 |
| 36.24 | 23 |
| 46.47 | 28 |
| 58.07 | 24 |

[5]
Computed X-ray powder pattern of Dy3Er2Lu2Te2Pd2 for Cu Kα, 1.54184 Å, from the GGA-PBE geometry in OQMD.
Peak positions follow from Bragg's law for the DFT cell and can differ from measured ones.

Atomic structure:
a = 9.357 Å, b = 9.357 Å, c = 9.357 Å
α = 155.80°, β = 67.05°, γ = 118.54°
Element x y z (fractional)
Dy 0.000 0.000 0.000
Dy 0.057 0.374 0.683
Dy 0.692 0.374 0.317
Er 0.093 0.736 0.357
Er 0.380 0.736 0.643
Lu 0.453 0.584 0.869
Lu 0.715 0.584 0.131
Te 0.342 0.342 0.000
Te 0.731 0.231 0.500
Pd 0.310 0.071 0.239
Pd 0.833 0.071 0.761

Principal peaks in the range 2θ from 10° to 90°, low angle first:
| 2θ (°) | intensity |
| --- | --- |
| 28.54 | 29 |
| 30.01 | 47 |
| 32.96 | 60 |
| 33.73 | 100 |
| 34.22 | 48 |
| 46.28 | 28 |
| 50.85 | 19 |
| 57.98 | 24 |

[6]
Computed X-ray powder pattern of Dy4Er2LuTe2Pd2 for Cu Kα, 1.54184 Å, from the GGA-PBE geometry in OQMD.
Peak positions follow from Bragg's law for the DFT cell and can differ from measured ones.

Atomic structure:
a = 9.385 Å, b = 9.385 Å, c = 9.385 Å
α = 155.87°, β = 67.27°, γ = 118.28°
Element x y z (fractional)
Dy 0.129 0.000 0.129
Dy 0.508 0.151 0.357
Dy 0.793 0.151 0.643
Dy 0.871 0.000 0.871
Er 0.110 0.792 0.318
Er 0.474 0.792 0.682
Lu 0.417 0.417 0.000
Te 0.154 0.654 0.500
Te 0.754 0.754 0.000
Pd 0.250 0.486 0.764
Pd 0.721 0.486 0.236

Principal peaks in the range 2θ from 10° to 90°, low angle first:
| 2θ (°) | intensity |
| --- | --- |
| 28.45 | 32 |
| 29.93 | 49 |
| 32.78 | 60 |
| 33.69 | 100 |
| 34.14 | 47 |
| 36.16 | 23 |
| 46.29 | 28 |
| 57.87 | 24 |

[7]
Computed X-ray powder pattern of Dy2Er2Lu3Te2Pd2 for Cu Kα, 1.54184 Å, from the GGA-PBE geometry in OQMD.
Peak positions follow from Bragg's law for the DFT cell and can differ from measured ones.

Atomic structure:
a = 9.318 Å, b = 9.318 Å, c = 9.318 Å
α = 155.74°, β = 67.32°, γ = 118.29°
Element x y z (fractional)
Dy 0.144 0.000 0.144
Dy 0.856 0.000 0.856
Er 0.219 0.849 0.370
Er 0.480 0.849 0.630
Lu 0.457 0.640 0.817
Lu 0.765 0.265 0.500
Lu 0.822 0.640 0.183
Te 0.104 0.604 0.500
Te 0.500 0.500 0.000
Pd 0.069 0.333 0.736
Pd 0.596 0.333 0.264

Principal peaks in the range 2θ from 10° to 90°, low angle first:
| 2θ (°) | intensity |
| --- | --- |
| 28.60 | 32 |
| 30.06 | 50 |
| 33.03 | 62 |
| 33.85 | 100 |
| 34.31 | 51 |
| 36.35 | 24 |
| 46.37 | 29 |
| 58.10 | 25 |

[8]
Computed X-ray powder pattern of Dy4Er2LuTe2Pd2 for Cu Kα, 1.54184 Å, from the GGA-PBE geometry in OQMD.
Peak positions follow from Bragg's law for the DFT cell and can differ from measured ones.

Atomic structure:
a = 9.416 Å, b = 9.416 Å, c = 9.416 Å
α = 155.98°, β = 67.31°, γ = 118.19°
Element x y z (fractional)
Dy 0.111 0.793 0.318
Dy 0.129 0.000 0.129
Dy 0.475 0.793 0.682
Dy 0.871 0.000 0.871
Er 0.508 0.150 0.358
Er 0.792 0.150 0.642
Lu 0.418 0.418 0.000
Te 0.154 0.654 0.500
Te 0.754 0.754 0.000
Pd 0.255 0.490 0.765
Pd 0.725 0.490 0.235

Principal peaks in the range 2θ from 10° to 90°, low angle first:
| 2θ (°) | intensity |
| --- | --- |
| 29.92 | 71 |
| 32.64 | 59 |
| 33.65 | 100 |
| 34.09 | 44 |
| 36.08 | 22 |
| 46.35 | 34 |
| 50.62 | 21 |
| 57.84 | 23 |

[9]
Computed X-ray powder pattern of Dy4Er2LuTe2Pd2 for Cu Kα, 1.54184 Å, from the GGA-PBE geometry in OQMD.
Peak positions follow from Bragg's law for the DFT cell and can differ from measured ones.

Atomic structure:
a = 9.389 Å, b = 9.389 Å, c = 9.389 Å
α = 155.89°, β = 67.22°, γ = 118.32°
Element x y z (fractional)
Dy 0.142 0.000 0.142
Dy 0.459 0.641 0.818
Dy 0.823 0.641 0.182
Dy 0.858 0.000 0.858
Er 0.220 0.849 0.370
Er 0.479 0.849 0.630
Lu 0.766 0.266 0.500
Te 0.106 0.606 0.500
Te 0.500 0.500 0.000
Pd 0.073 0.336 0.737
Pd 0.599 0.336 0.263

Principal peaks in the range 2θ from 10° to 90°, low angle first:
| 2θ (°) | intensity |
| --- | --- |
| 28.44 | 30 |
| 29.97 | 69 |
| 32.77 | 60 |
| 33.68 | 100 |
| 34.14 | 46 |
| 36.17 | 21 |
| 46.31 | 28 |
| 57.89 | 24 |

[10]
Computed X-ray powder pattern of Dy2Er3Lu2Te2Pd2 for Cu Kα, 1.54184 Å, from the GGA-PBE geometry in OQMD.
Peak positions follow from Bragg's law for the DFT cell and can differ from measured ones.

Atomic structure:
a = 9.328 Å, b = 9.328 Å, c = 9.328 Å
α = 155.71°, β = 67.19°, γ = 118.43°
Element x y z (fractional)
Dy 0.145 0.000 0.145
Dy 0.855 0.000 0.855
Er 0.218 0.848 0.370
Er 0.478 0.848 0.630
Er 0.764 0.264 0.500
Lu 0.457 0.639 0.818
Lu 0.821 0.639 0.182
Te 0.103 0.603 0.500
Te 0.500 0.500 0.000
Pd 0.068 0.330 0.737
Pd 0.593 0.330 0.263

Principal peaks in the range 2θ from 10° to 90°, low angle first:
| 2θ (°) | intensity |
| --- | --- |
| 28.58 | 33 |
| 30.03 | 49 |
| 33.04 | 63 |
| 33.80 | 100 |
| 34.27 | 51 |
| 36.34 | 24 |
| 46.27 | 29 |
| 58.01 | 30 |

[11]
Computed X-ray powder pattern of Dy2Er2Lu3Te2Pd2 for Cu Kα, 1.54184 Å, from the GGA-PBE geometry in OQMD.
Peak positions follow from Bragg's law for the DFT cell and can differ from measured ones.

Atomic structure:
a = 9.316 Å, b = 9.316 Å, c = 9.316 Å
α = 155.82°, β = 67.41°, γ = 118.16°
Element x y z (fractional)
Dy 0.183 0.000 0.183
Dy 0.817 0.000 0.817
Er 0.218 0.360 0.857
Er 0.503 0.360 0.143
Lu 0.127 0.627 0.500
Lu 0.579 0.210 0.369
Lu 0.840 0.210 0.631
Te 0.467 0.967 0.500
Te 0.858 0.858 0.000
Pd 0.434 0.696 0.738
Pd 0.959 0.696 0.262

Principal peaks in the range 2θ from 10° to 90°, low angle first:
| 2θ (°) | intensity |
| --- | --- |
| 30.10 | 49 |
| 32.99 | 60 |
| 33.92 | 100 |
| 34.36 | 46 |
| 36.37 | 20 |
| 46.55 | 27 |
| 51.14 | 20 |
| 58.23 | 24 |

[12]
Computed X-ray powder pattern of Dy2ErTm2Lu2Te2Pd2 for Cu Kα, 1.54184 Å, from the GGA-PBE geometry in OQMD.
Peak positions follow from Bragg's law for the DFT cell and can differ from measured ones.

Atomic structure:
a = 9.331 Å, b = 9.331 Å, c = 9.331 Å
α = 155.77°, β = 67.07°, γ = 118.54°
Element x y z (fractional)
Dy 0.144 0.000 0.144
Dy 0.856 0.000 0.856
Er 0.764 0.264 0.500
Tm 0.218 0.848 0.370
Tm 0.478 0.848 0.630
Lu 0.456 0.638 0.818
Lu 0.821 0.638 0.182
Te 0.104 0.604 0.500
Te 0.499 0.499 0.000
Pd 0.068 0.330 0.738
Pd 0.593 0.330 0.262

Principal peaks in the range 2θ from 10° to 90°, low angle first:
| 2θ (°) | intensity |
| --- | --- |
| 30.08 | 49 |
| 30.22 | 22 |
| 33.05 | 63 |
| 33.81 | 100 |
| 34.30 | 52 |
| 36.40 | 23 |
| 46.35 | 29 |
| 58.09 | 30 |